Entry 1:
# Ca8In3
Simulated X-ray powder pattern, CuKα. Input: a crystal structure in the Materials Project, relaxed with PBE.

Peak list (10 most intense, 15 to 90 degrees two-theta, in order of falling intensity)
(1 1 2), 2.782 Å, I 100
(-2 1 1), 4.556 Å, I 75
(-2 1 3), 2.831 Å, I 38
(2 -4 0), 2.394 Å, I 36
(3 -3 0), 2.776 Å, I 32
(0 3 -1), 2.810 Å, I 30
(0 0 2), 4.579 Å, I 23
(-1 2 1), 3.989 Å, I 21
(4 -2 0), 2.351 Å, I 20
(-1 2 3), 2.406 Å, I 15

Structural model:
```
data_Ca8In3
_cell_length_a 9.5893
_cell_length_b 9.6918
_cell_length_c 9.7562
_cell_angle_alpha 98.91
_cell_angle_beta 101.07
_cell_angle_gamma 119.56
_space_group_name_H-M_alt 'P 1'
_space_group_IT_number 1
_space_group_name_Hall 'P 1'
loop_
_atom_site_label
_atom_site_type_symbol
_atom_site_fract_x
_atom_site_fract_y
_atom_site_fract_z
Ca1 Ca 0.0000 0.0000 0.0000
Ca2 Ca 0.0114 0.0093 0.6474
Ca3 Ca 0.1344 0.4204 0.2390
Ca4 Ca 0.1710 0.8004 0.4612
Ca5 Ca 0.2444 0.4512 0.6498
Ca6 Ca 0.3515 0.7024 0.9985
Ca7 Ca 0.3916 0.0703 0.2435
Ca8 Ca 0.4286 0.3626 0.0195
Ca9 Ca 0.5132 0.2411 0.6798
Ca10 Ca 0.5476 0.5278 0.4585
Ca11 Ca 0.5915 0.8987 0.7024
Ca12 Ca 0.6954 0.1452 0.0509
Ca13 Ca 0.7683 0.8003 0.2416
Ca14 Ca 0.8026 0.1765 0.4582
Ca15 Ca 0.9245 0.5883 0.0521
Ca16 Ca 0.9377 0.5975 0.6989
In1 In 0.1459 0.1403 0.3757
In2 In 0.2979 0.9630 0.8501
In3 In 0.4716 0.8017 0.3521
In4 In 0.6437 0.6385 0.8502
In5 In 0.7940 0.4600 0.3214
In6 In 0.9740 0.3001 0.8515
```

=====

Entry 2:
# Ba2Ti6N2O11
Simulated X-ray powder pattern, CuKα. Input: a crystal structure in the Materials Project, relaxed with PBE.

Peak list (10 most intense, 15 to 90 degrees two-theta, in order of falling intensity)
(3 1 1), 2.874 Å, I 100
(3 1 -1), 3.038 Å, I 84
(2 0 -3), 2.987 Å, I 74
(3 1 0), 3.118 Å, I 66
(0 0 2), 4.568 Å, I 51
(0 2 0), 1.974 Å, I 48
(4 0 -4), 2.104 Å, I 38
(4 0 -1), 3.721 Å, I 37
(2 0 3), 2.693 Å, I 37
(6 0 2), 2.090 Å, I 33

Structural model:
```
data_Ba2Ti6N2O11
_cell_length_a 15.4156
_cell_length_b 3.9487
_cell_length_c 9.2411
_cell_angle_alpha 90.00
_cell_angle_beta 98.67
_cell_angle_gamma 90.00
_space_group_name_H-M_alt 'C 1 m 1'
_space_group_IT_number 8
_space_group_name_Hall 'C -2y'
loop_
_atom_site_label
_atom_site_type_symbol
_atom_site_fract_x
_atom_site_fract_y
_atom_site_fract_z
Ba1 Ba 0.0000 0.0000 0.0000
Ba2 Ba 0.1017 0.0000 0.5397
Ti1 Ti 0.1775 0.5000 0.8683
Ti2 Ti 0.2260 0.5000 0.1938
Ti3 Ti 0.2893 0.5000 0.5324
Ti4 Ti 0.3038 0.0000 0.9877
Ti5 Ti 0.3845 0.0000 0.3256
Ti6 Ti 0.4334 0.0000 0.6768
N1 N 0.1914 0.0000 0.8685
N2 N 0.2901 0.5000 0.0115
O1 O 0.0491 0.5000 0.7627
O2 O 0.1241 0.5000 0.0637
O3 O 0.1874 0.5000 0.3824
O4 O 0.2182 0.5000 0.6702
O5 O 0.2545 0.0000 0.1974
O6 O 0.3125 0.0000 0.5258
O7 O 0.3528 0.5000 0.3380
O8 O 0.3884 0.0000 0.8542
O9 O 0.4140 0.5000 0.6506
O10 O 0.4269 0.0000 0.1565
O11 O 0.4791 0.0000 0.4714
```

=====

Entry 3:
# Li3AsH36Se4N12
Simulated X-ray powder pattern, CuKα. Input: a crystal structure in the Materials Project, relaxed with PBE.

Peak list (10 most intense, 15 to 90 degrees two-theta, in order of falling intensity)
(2 2 2), 3.005 Å, I 100
(2 1 1), 4.250 Å, I 60
(4 4 0), 1.840 Å, I 38
(4 3 1), 2.041 Å, I 35
(3 2 1), 2.782 Å, I 35
(4 0 0), 2.602 Å, I 31
(6 2 2), 1.569 Å, I 31
(5 2 1), 1.900 Å, I 21
(3 3 0), 2.454 Å, I 20
(6 1 1), 1.689 Å, I 16

Structural model:
```
data_Li3AsH36Se4N12
_cell_length_a 10.4094
_cell_length_b 10.4094
_cell_length_c 10.4094
_cell_angle_alpha 90.00
_cell_angle_beta 90.00
_cell_angle_gamma 90.00
_space_group_name_H-M_alt 'I -4 3 m'
_space_group_IT_number 217
_space_group_name_Hall 'I -4 2 3'
loop_
_atom_site_label
_atom_site_type_symbol
_atom_site_fract_x
_atom_site_fract_y
_atom_site_fract_z
Li1 Li 0.0000 0.0000 0.5000
As1 As 0.0000 0.0000 0.0000
H1 H 0.0942 0.0942 0.2942
H2 H 0.1109 0.2203 0.3866
Se1 Se 0.1301 0.1301 0.8699
N1 N 0.1154 0.3775 0.6225
```

=====

Entry 4:
# YMnAl
Simulated X-ray powder pattern, CuKα. Input: a crystal structure in the Materials Project, relaxed with PBE.

Peak list (10 most intense, 15 to 90 degrees two-theta, in order of falling intensity)
(2 1 1), 2.344 Å, I 100
(1 1 2), 2.731 Å, I 91
(0 1 3), 2.314 Å, I 79
(1 2 1), 2.354 Å, I 62
(0 2 0), 2.771 Å, I 41
(2 2 4), 1.365 Å, I 35
(1 0 1), 4.464 Å, I 28
(2 0 2), 2.232 Å, I 23
(2 3 1), 1.503 Å, I 23
(0 2 2), 2.243 Å, I 19

Structural model:
```
data_YMnAl
_cell_length_a 5.4988
_cell_length_b 5.5414
_cell_length_c 7.6433
_cell_angle_alpha 90.00
_cell_angle_beta 90.00
_cell_angle_gamma 90.00
_space_group_name_H-M_alt 'I m m a'
_space_group_IT_number 74
_space_group_name_Hall '-I 2b 2'
loop_
_atom_site_label
_atom_site_type_symbol
_atom_site_fract_x
_atom_site_fract_y
_atom_site_fract_z
Y1 Y 0.0000 0.2500 0.1210
Mn1 Mn 0.2500 0.2500 0.7500
Al1 Al 0.0000 0.0000 0.5000
```

=====

Entry 5:
# Cd3InAu12
Simulated X-ray powder pattern, CuKα. Input: a crystal structure in the Materials Project, relaxed with PBE.

Peak list (10 most intense, 15 to 90 degrees two-theta, in order of falling intensity)
(2 0 2), 2.281 Å, I 100
(2 0 1), 2.493 Å, I 43
(0 0 4), 2.444 Å, I 36
(2 2 4), 1.271 Å, I 28
(2 0 3), 2.022 Å, I 23
(2 2 0), 1.489 Å, I 23
(2 0 6), 1.378 Å, I 20
(4 0 2), 1.247 Å, I 15
(2 0 5), 1.558 Å, I 10
(2 0 0), 2.578 Å, I 8

Structural model:
```
data_Cd3InAu12
_cell_length_a 5.9547
_cell_length_b 5.9547
_cell_length_c 9.7773
_cell_angle_alpha 90.00
_cell_angle_beta 90.00
_cell_angle_gamma 120.00
_space_group_name_H-M_alt 'P -6 m 2'
_space_group_IT_number 187
_space_group_name_Hall 'P -6 2'
loop_
_atom_site_label
_atom_site_type_symbol
_atom_site_fract_x
_atom_site_fract_y
_atom_site_fract_z
Cd1 Cd 0.0000 0.0000 0.0000
Cd2 Cd 0.6667 0.3333 0.2495
In1 In 0.3333 0.6667 0.5000
Au1 Au 0.0006 0.5003 0.0000
Au2 Au 0.1666 0.3332 0.2495
Au3 Au 0.3330 0.1665 0.5000
```

=====

Entry 6:
# BaPdCl4
Simulated X-ray powder pattern, CuKα. Input: a crystal structure in the Materials Project, relaxed with PBE.

Peak list (10 most intense, 15 to 90 degrees two-theta, in order of falling intensity)
(1 1 2), 3.277 Å, I 100
(1 1 1), 4.809 Å, I 48
(1 3 0), 3.619 Å, I 41
(2 2 1), 2.850 Å, I 37
(0 2 1), 4.909 Å, I 35
(1 5 0), 2.383 Å, I 30
(3 3 0), 2.043 Å, I 28
(2 4 2), 2.010 Å, I 27
(3 1 2), 1.975 Å, I 26
(2 0 0), 3.501 Å, I 24

Structural model:
```
data_BaPdCl4
_cell_length_a 7.0013
_cell_length_b 12.6832
_cell_length_c 7.7559
_cell_angle_alpha 90.00
_cell_angle_beta 90.00
_cell_angle_gamma 90.00
_space_group_name_H-M_alt 'P b c n'
_space_group_IT_number 60
_space_group_name_Hall '-P 2n 2ab'
loop_
_atom_site_label
_atom_site_type_symbol
_atom_site_fract_x
_atom_site_fract_y
_atom_site_fract_z
Ba1 Ba 0.0000 0.1475 0.2500
Pd1 Pd 0.0000 0.5000 0.0000
Cl1 Cl 0.1116 0.3275 0.5285
Cl2 Cl 0.2060 0.0628 0.5958
```